Simulated XRD peak list of Hf2Ti7Al3 for Cu Kα, from DFT lattice parameters and positions (GGA-PBE).
Neutral-atom scattering factors, no anomalous dispersion.

Principal peaks in the range 2θ from 10° to 90°, low angle first:
two_theta, d [Å], Rel. int., h k l
11.03, 8.022, 100, 0 0 2
19.53, 4.545, 49, 1 0 -1
20.05, 4.428, 70, 1 0 1
31.20, 2.867, 30, 0 1 0
33.18, 2.700, 32, 0 1 2
37.95, 2.371, 52, 1 0 -6
38.23, 2.354, 39, 1 1 -2
38.57, 2.334, 60, 2 0 0
38.80, 2.321, 47, 1 1 2
39.31, 2.292, 30, 0 0 7
39.65, 2.273, 47, 1 0 6
42.85, 2.111, 38, 1 1 -4

Crystal structure
```
data_Hf2Ti7Al3
_chemical_formula_sum 'Hf2 Ti7 Al3'
_space_group_name_H-M_alt 'P 1'
_space_group_IT_number 1
_cell_length_a 4.677
_cell_length_b 2.867
_cell_length_c 16.063
_cell_angle_alpha 90.00
_cell_angle_beta 92.79
_cell_angle_gamma 90.00
loop_
_space_group_symop_operation_xyz
'x,y,z'
loop_
_atom_site_label
_atom_site_fract_x
_atom_site_fract_y
_atom_site_fract_z
Hf1 0.210 0.000 0.290
Hf2 0.790 0.000 0.710
Ti1 0.191 0.500 0.135
Ti2 0.244 0.000 0.459
Ti3 0.303 0.000 0.823
Ti4 0.500 0.500 0.000
Ti5 0.697 0.000 0.177
Ti6 0.756 0.000 0.541
Ti7 0.809 0.500 0.865
Al1 0.000 0.000 0.000
Al2 0.272 0.500 0.618
Al3 0.728 0.500 0.382
```